No. 1
Starting from DFT lattice parameters and positions (PBE+U), the powder diffractogram of MnCuO4 was computed for Cu Kα (λ = 1.5418 Å).
Intensities are scaled so that the largest is 100.

Structure:
```
MnCuO4
1.0
-2.9222 2.9406 3.9152
2.9222 -2.9406 3.9152
2.9222 2.9406 -3.9152
Mn Cu O
2 2 8
direct
0.0000 0.0000 0.0000 Mn
0.5000 0.0000 0.5000 Mn
0.3666 0.6166 0.7500 Cu
0.6334 0.3834 0.2500 Cu
0.2399 0.2391 0.0008 O
0.2491 0.2154 0.4663 O
0.2491 0.7828 0.0337 O
0.2617 0.7609 0.5008 O
0.7383 0.2391 0.4992 O
0.7509 0.2172 0.9663 O
0.7509 0.7846 0.5337 O
0.7601 0.7609 0.9992 O
```

Most intense lines, 10° ≤ 2θ ≤ 90°, sorted by position:
two_theta	I_rel
18.88	58.8
30.59	61.4
31.43	65.6
36.06	100.0
37.74	51.7
65.60	43.5


No. 2
Starting from DFT lattice parameters and positions (PBE+U), the powder diffractogram of MnCuO2 was computed for Cu Kα (λ = 1.5418 Å).
Intensities are scaled so that the largest is 100.

Structure:
```
MnCuO2
1.0
2.8412 -1.4910 0.0000
2.8412 1.4910 0.0000
-1.4620 0.0000 5.7296
Mn Cu O
1 1 2
direct
0.0000 0.0000 0.0000 Mn
0.5000 0.5000 0.5000 Cu
0.4027 0.4027 0.1802 O
0.5973 0.5973 0.8198 O
```

Most intense lines, 10° ≤ 2θ ≤ 90°, sorted by position:
two_theta	I_rel
31.22	46.1
32.52	72.2
35.95	100.0
39.42	62.3
56.14	30.3
57.78	31.3


No. 3
Starting from DFT lattice parameters and positions (PBE+U), the powder diffractogram of Mn3Cu2O8 was computed for Cu Kα (λ = 1.5418 Å).
Intensities are scaled so that the largest is 100.

Structure:
```
Mn3Cu2O8
1.0
5.1559 -2.9240 0.0000
5.1559 2.9240 0.0000
-1.8958 0.0000 4.6554
Mn Cu O
3 2 8
direct
0.0000 0.0000 0.0000 Mn
0.2593 0.7407 0.5000 Mn
0.7407 0.2593 0.5000 Mn
0.3177 0.3177 0.8526 Cu
0.6823 0.6823 0.1474 Cu
0.1086 0.1086 0.7513 O
0.1259 0.6599 0.7382 O
0.3401 0.8741 0.2618 O
0.3873 0.3873 0.2767 O
0.6127 0.6127 0.7233 O
0.6599 0.1259 0.7382 O
0.8741 0.3401 0.2618 O
0.8914 0.8914 0.2487 O
```

Most intense lines, 10° ≤ 2θ ≤ 90°, sorted by position:
two_theta	I_rel
18.58	54.0
28.69	50.1
31.39	74.3
32.01	74.4
36.00	95.2
36.28	100.0


No. 4
Starting from DFT lattice parameters and positions (PBE+U), the powder diffractogram of Mn3Cu3O8 was computed for Cu Kα (λ = 1.5418 Å).
Intensities are scaled so that the largest is 100.

Structure:
```
Mn3Cu3O8
1.0
8.4378 0.0000 0.0000
0.0000 8.4378 0.0000
0.0000 0.0000 8.4378
Mn Cu O
12 12 32
direct
0.1244 0.3750 0.3744 Mn
0.1250 0.6256 0.6244 Mn
0.1256 0.8756 0.8750 Mn
0.3744 0.1244 0.3750 Mn
0.3750 0.3744 0.1244 Mn
0.3756 0.6250 0.8744 Mn
0.6244 0.1250 0.6256 Mn
0.6250 0.8744 0.3756 Mn
0.6256 0.6244 0.1250 Mn
0.8744 0.3756 0.6250 Mn
0.8750 0.1256 0.8756 Mn
0.8756 0.8750 0.1256 Mn
0.0014 0.9986 0.4986 Cu
0.1250 0.1250 0.1250 Cu
0.2486 0.7514 0.2514 Cu
0.2514 0.2486 0.7514 Cu
0.3750 0.8750 0.6250 Cu
0.4986 0.0014 0.9986 Cu
0.5014 0.5014 0.5014 Cu
0.6250 0.3750 0.8750 Cu
0.7486 0.7486 0.7486 Cu
0.7514 0.2514 0.2486 Cu
0.8750 0.6250 0.3750 Cu
0.9986 0.4986 0.0014 Cu
0.1104 0.8792 0.1107 O
0.1107 0.1104 0.8792 O
0.1130 0.3870 0.6130 O
0.1208 0.6107 0.3896 O
0.1292 0.8604 0.6393 O
0.1370 0.6370 0.8630 O
0.1393 0.3708 0.1396 O
0.1396 0.1393 0.3708 O
0.3604 0.8607 0.8708 O
0.3607 0.6292 0.6396 O
0.3630 0.3630 0.3630 O
0.3708 0.1396 0.1393 O
0.3792 0.3893 0.8896 O
0.3870 0.6130 0.1130 O
0.3893 0.8896 0.3792 O
0.3896 0.1208 0.6107 O
0.6104 0.6208 0.8893 O
0.6107 0.3896 0.1208 O
0.6130 0.1130 0.3870 O
0.6208 0.8893 0.6104 O
0.6292 0.6396 0.3607 O
0.6370 0.8630 0.1370 O
0.6393 0.1292 0.8604 O
0.6396 0.3607 0.6292 O
0.8604 0.6393 0.1292 O
0.8607 0.8708 0.3604 O
0.8630 0.1370 0.6370 O
0.8708 0.3604 0.8607 O
0.8792 0.1107 0.1104 O
0.8870 0.8870 0.8870 O
0.8893 0.6104 0.6208 O
0.8896 0.3792 0.3893 O
```

Most intense lines, 10° ≤ 2θ ≤ 90°, sorted by position:
two_theta	I_rel
29.95	34.5
35.28	100.0
42.87	14.9
56.69	36.3
62.24	42.8
89.14	16.7


No. 5
Starting from DFT lattice parameters and positions (PBE+U), the powder diffractogram of Mn11Cu7O24 was computed for Cu Kα (λ = 1.5418 Å).
Intensities are scaled so that the largest is 100.

Structure:
```
Mn11Cu7O24
1.0
6.0569 0.0000 0.0000
-0.0318 8.3327 0.0000
-2.5212 -4.1681 9.0864
Mn Cu O
11 7 24
direct
0.0000 0.0000 0.0000 Mn
0.0000 0.5000 0.5000 Mn
0.1621 0.1665 0.8319 Mn
0.1727 0.1678 0.3345 Mn
0.3272 0.3330 0.6650 Mn
0.3377 0.8341 0.1670 Mn
0.5000 0.5000 0.0000 Mn
0.6623 0.1659 0.8330 Mn
0.6728 0.6670 0.3350 Mn
0.8273 0.8322 0.6655 Mn
0.8379 0.8335 0.1681 Mn
0.0847 0.4572 0.1674 Cu
0.2569 0.8741 0.5011 Cu
0.4082 0.7863 0.8292 Cu
0.5000 0.5000 0.5000 Cu
0.5918 0.2137 0.1708 Cu
0.7431 0.1259 0.4989 Cu
0.9153 0.5428 0.8326 Cu
0.0062 0.7706 0.0151 O
0.0116 0.2591 0.4931 O
0.1300 0.9242 0.8268 O
0.1675 0.4099 0.3457 O
0.1715 0.9232 0.3218 O
0.1823 0.4029 0.8304 O
0.3068 0.5609 0.6486 O
0.3258 0.0754 0.1740 O
0.3328 0.1033 0.6812 O
0.3543 0.5940 0.1642 O
0.4655 0.2546 0.4972 O
0.4964 0.2542 0.9875 O
0.5036 0.7458 0.0125 O
0.5345 0.7454 0.5028 O
0.6457 0.4060 0.8358 O
0.6672 0.8967 0.3188 O
0.6742 0.9246 0.8260 O
0.6932 0.4391 0.3514 O
0.8177 0.5971 0.1696 O
0.8285 0.0768 0.6782 O
0.8325 0.5901 0.6543 O
0.8700 0.0758 0.1732 O
0.9884 0.7409 0.5069 O
0.9938 0.2294 0.9849 O
```

Most intense lines, 10° ≤ 2θ ≤ 90°, sorted by position:
two_theta	I_rel
29.52	44.3
30.33	20.8
34.14	66.4
35.55	100.0
57.32	31.2
61.34	26.5


No. 6
Starting from DFT lattice parameters and positions (PBE+U), the powder diffractogram of Mn3CuO8 was computed for Cu Kα (λ = 1.5418 Å).
Intensities are scaled so that the largest is 100.

Structure:
```
Mn3CuO8
1.0
2.9075 1.6787 4.7755
-2.9075 1.6787 4.7755
0.0000 -3.3573 4.7755
Mn Cu O
3 1 8
direct
0.0000 0.5000 0.5000 Mn
0.5000 0.0000 0.5000 Mn
0.5000 0.5000 0.0000 Mn
0.5000 0.5000 0.5000 Cu
0.2625 0.2625 0.7056 O
0.2625 0.7056 0.2625 O
0.2647 0.2647 0.2647 O
0.2944 0.7375 0.7375 O
0.7056 0.2625 0.2625 O
0.7353 0.7353 0.7353 O
0.7375 0.2944 0.7375 O
0.7375 0.7375 0.2944 O
```

Most intense lines, 10° ≤ 2θ ≤ 90°, sorted by position:
two_theta	I_rel
18.66	100.0
36.18	25.9
43.96	48.9
58.22	13.0
63.78	12.7
64.05	12.7


No. 7
Starting from DFT lattice parameters and positions (PBE+U), the powder diffractogram of MnCu3P4O16 was computed for Cu Kα (λ = 1.5418 Å).
Intensities are scaled so that the largest is 100.

Structure:
```
MnCu3P4O16
1.0
5.2894 0.0000 0.0000
0.0000 6.0390 0.0000
-0.3816 0.0000 10.0379
Mn Cu P O
1 3 4 16
direct
0.0000 0.0000 0.0000 Mn
0.2281 0.5000 0.6203 Cu
0.4419 0.5000 0.1188 Cu
0.7281 0.0000 0.4880 Cu
0.0282 0.5000 0.9099 P
0.1600 0.0000 0.6932 P
0.5325 0.0000 0.1914 P
0.6401 0.5000 0.4186 P
0.0018 0.5000 0.7555 O
0.1998 0.0000 0.8463 O
0.3027 0.1975 0.6306 O
0.3027 0.8025 0.6306 O
0.3163 0.5000 0.9443 O
0.3564 0.5000 0.4489 O
0.3745 0.1937 0.1254 O
0.3745 0.8063 0.1254 O
0.5009 0.0000 0.3441 O
0.6606 0.5000 0.2650 O
0.7936 0.3031 0.4803 O
0.7936 0.6969 0.4803 O
0.8145 0.0000 0.1622 O
0.8716 0.0000 0.6614 O
0.8887 0.2994 0.9685 O
0.8887 0.7006 0.9685 O
```

Most intense lines, 10° ≤ 2θ ≤ 90°, sorted by position:
two_theta	I_rel
17.67	61.2
18.67	100.0
19.27	64.6
22.35	30.7
23.98	35.3
29.58	77.2


No. 8
Starting from DFT lattice parameters and positions (PBE+U), the powder diffractogram of Mn5CuP4O16 was computed for Cu Kα (λ = 1.5418 Å).
Intensities are scaled so that the largest is 100.

Structure:
```
Mn5CuP4O16
1.0
6.1679 0.0000 0.0000
0.0000 11.8837 0.0000
-1.3835 0.0000 8.8655
Mn Cu P O
10 2 8 32
direct
0.0760 0.0000 0.2376 Mn
0.0838 0.6792 0.4393 Mn
0.1266 0.3634 0.1191 Mn
0.3720 0.7548 0.8773 Mn
0.4085 0.4595 0.5463 Mn
0.5915 0.9595 0.4537 Mn
0.6280 0.2548 0.1227 Mn
0.8734 0.8634 0.8809 Mn
0.9162 0.1792 0.5607 Mn
0.9240 0.5000 0.7624 Mn
0.4203 0.1008 0.8050 Cu
0.5797 0.6008 0.1950 Cu
0.0616 0.6347 0.1042 P
0.1368 0.9242 0.5962 P
0.3633 0.2107 0.4082 P
0.4502 0.4743 0.8847 P
0.5498 0.9743 0.1153 P
0.6367 0.7107 0.5918 P
0.8632 0.4242 0.4038 P
0.9384 0.1347 0.8958 P
0.0140 0.5210 0.0194 O
0.0730 0.4984 0.4263 O
0.0769 0.7303 0.9873 O
0.1217 0.1625 0.7985 O
0.1242 0.8466 0.7349 O
0.1465 0.8553 0.4504 O
0.1506 0.1372 0.3844 O
0.2453 0.4830 0.7622 O
0.2759 0.6297 0.2207 O
0.3463 0.2901 0.5400 O
0.3533 0.9952 0.6265 O
0.3687 0.9405 0.2075 O
0.3752 0.2774 0.2592 O
0.4229 0.3837 0.0047 O
0.4231 0.6383 0.5643 O
0.4970 0.5919 0.9642 O
0.5030 0.0919 0.0358 O
0.5769 0.1383 0.4357 O
0.5771 0.8837 0.9953 O
0.6248 0.7774 0.7408 O
0.6313 0.4405 0.7925 O
0.6467 0.4952 0.3735 O
0.6537 0.7901 0.4600 O
0.7241 0.1297 0.7793 O
0.7547 0.9830 0.2378 O
0.8494 0.6372 0.6156 O
0.8535 0.3553 0.5496 O
0.8758 0.3466 0.2651 O
0.8783 0.6625 0.2015 O
0.9231 0.2303 0.0127 O
0.9270 0.9984 0.5737 O
0.9860 0.0210 0.9806 O
```

Most intense lines, 10° ≤ 2θ ≤ 90°, sorted by position:
two_theta	I_rel
24.62	100.0
29.50	98.2
30.26	75.9
30.46	34.0
30.65	58.8
32.46	64.5